Structure and simulated powder X-ray diffraction pattern of Li3CoSiO5 (a crystal structure in Alexandria, relaxed with GGA+U; Cu Kα, 1.54184 Å).
Lines closer than 0.1° are merged.

Crystal structure
```
Li3CoSiO5
1.0
5.479 0.000 0.000
0.000 15.702 0.000
0.000 0.000 4.944
Li Co Si O
12 4 4 20
direct
0.165 0.004 0.000 Li
0.165 0.592 0.996 Li
0.175 0.195 0.002 Li
0.325 0.695 0.502 Li
0.335 0.092 0.496 Li
0.335 0.504 0.500 Li
0.665 0.496 0.000 Li
0.665 0.908 0.996 Li
0.675 0.305 0.002 Li
0.825 0.805 0.502 Li
0.835 0.408 0.496 Li
0.835 0.996 0.500 Li
0.173 0.800 0.997 Co
0.327 0.300 0.497 Co
0.673 0.700 0.997 Co
0.827 0.200 0.497 Co
0.166 0.401 0.006 Si
0.334 0.901 0.506 Si
0.666 0.099 0.006 Si
0.834 0.599 0.506 Si
0.117 0.601 0.600 O
0.155 0.202 0.589 O
0.177 0.393 0.665 O
0.182 0.985 0.601 O
0.189 0.812 0.614 O
0.311 0.312 0.114 O
0.318 0.485 0.101 O
0.323 0.893 0.165 O
0.345 0.702 0.089 O
0.383 0.101 0.100 O
0.617 0.899 0.600 O
0.655 0.298 0.589 O
0.677 0.107 0.665 O
0.682 0.515 0.601 O
0.689 0.688 0.614 O
0.811 0.188 0.114 O
0.818 0.015 0.101 O
0.823 0.607 0.165 O
0.845 0.798 0.089 O
0.883 0.399 0.100 O
```

Most intense lines, 2θ from 5° to 70°, in order of rising 2θ:
(0 2 0), 11.3°, intensity 68; (0 1 1), 18.8°, intensity 42; (1 2 0), 19.8°, intensity 100; (0 3 1), 24.8°, intensity 80; (2 0 0), 32.7°, intensity 35; (1 5 0), 32.9°, intensity 64; (0 0 2), 36.3°, intensity 56; (1 5 1), 37.7°, intensity 39; (3 5 0), 58.5°, intensity 36; (0 10 0), 58.8°, intensity 29